This entry pairs a crystal structure of Zr9Ti3P4 with its simulated powder X-ray diffraction pattern. Radiation: Cu Kα. Structure: a structure optimized by DFT (PBE).
Lines closer than 0.1° are merged.

Main lines, in order of rising 2θ (10° ≤ 2θ ≤ 80°):
2θ 27.68, I 21.8, hkl 1 0 3; 2θ 29.76, I 15.7, hkl 0 1 5; 2θ 32.54, I 29.8, hkl 0 1 6; 2θ 35.83, I 100.0, hkl 1 1 3; 2θ 37.37, I 21.6, hkl 1 1 4; 2θ 39.26, I 12.1, hkl 1 1 5; 2θ 40.54, I 17.4, hkl 1 0 8; 2θ 45.51, I 24.2, hkl 0 2 0; 2θ 46.75, I 11.3, hkl 1 1 8; 2θ 51.35, I 16.7, hkl 2 0 0; 2θ 71.02, I 12.2, hkl 2 2 0; 2θ 77.74, I 9.6, hkl 1 3 3

Crystal structure
```
Zr9Ti3P4
1.0
3.5585 0.0000 0.0000
0.0000 3.9861 0.0000
0.0000 0.0000 22.8150
Zr Ti P
9 3 4
direct
0.0000 0.0000 0.0000 Zr
0.0000 0.0000 0.2451 Zr
0.0000 0.5000 0.0966 Zr
0.0000 0.5000 0.3672 Zr
0.0000 0.5000 0.7296 Zr
0.5000 0.0000 0.1298 Zr
0.5000 0.5000 0.2409 Zr
0.5000 0.5000 0.5462 Zr
0.5000 0.5000 0.9154 Zr
0.0000 0.0000 0.6261 Ti
0.5000 0.0000 0.4429 Ti
0.5000 0.0000 0.8098 Ti
0.0000 0.0000 0.5179 P
0.0000 0.0000 0.8848 P
0.5000 0.0000 0.3328 P
0.5000 0.0000 0.7012 P
```



This entry pairs a crystal structure of Zr3Ti3P2 with its simulated powder X-ray diffraction pattern. Radiation: Cu Kα. Structure: a structure optimized by DFT (PBE).
Lines closer than 0.1° are merged.

Main lines, in order of rising 2θ (10° ≤ 2θ ≤ 80°):
2θ 23.69, I 27.4, hkl 0 0 3; 2θ 29.57, I 16.2, hkl 1 0 2; 2θ 33.89, I 69.2, hkl 0 1 3; 2θ 35.68, I 100.0, hkl 1 1 1; 2θ 38.36, I 33.4, hkl 1 1 2; 2θ 40.76, I 49.9, hkl 1 0 4; 2θ 42.49, I 14.0, hkl 1 1 3; 2θ 48.88, I 24.3, hkl 0 2 0; 2θ 51.03, I 21.3, hkl 2 0 0; 2θ 62.68, I 21.5, hkl 2 1 3; 2θ 65.48, I 22.6, hkl 1 2 4; 2θ 73.35, I 13.6, hkl 2 2 0

Crystal structure
```
Zr3Ti3P2
1.0
3.5792 0.0000 0.0000
0.0000 3.7263 0.0000
0.0000 0.0000 11.2679
Zr Ti P
3 3 2
direct
0.0000 0.0000 0.0000 Zr
0.0000 0.0000 0.3147 Zr
0.5000 0.0000 0.6184 Zr
0.0000 0.5000 0.7805 Ti
0.5000 0.5000 0.1644 Ti
0.5000 0.5000 0.4046 Ti
0.0000 0.5000 0.5559 P
0.5000 0.5000 0.9371 P
```